Computed powder diffraction line list
Compound: Cs2ErPu3O12
Radiation: Cu Kα (weighted mean of Kα1 and Kα2)
Structure: DFT lattice parameters and positions (PBE)
Kinematic intensities with the Lorentz-polarization factor, no thermal factor.

Structure:
```
data_Cs2ErPu3O12
_cell_length_a 7.9666
_cell_length_b 7.9666
_cell_length_c 18.7231
_cell_angle_alpha 90.00
_cell_angle_beta 90.00
_cell_angle_gamma 120.00
_space_group_name_H-M_alt 'R -3 m'
_space_group_IT_number 166
_space_group_name_Hall '-R 3 2"'
loop_
_atom_site_label
_atom_site_type_symbol
_atom_site_fract_x
_atom_site_fract_y
_atom_site_fract_z
Cs1 Cs 0.0000 0.0000 0.1232
Er1 Er 0.0000 0.0000 0.5000
Pu1 Pu 0.0000 0.5000 0.0000
O1 O 0.0628 0.5314 0.1009
O2 O 0.0812 0.5406 0.3521
```

Most intense lines, 10 to 90 degrees two-theta, in order of rising 2θ:
2theta	I (rel.)	hkl
13.7	47	1 0 1
26.3	81	0 2 1
26.5	99	1 1 3
27.1	49	0 1 5
27.6	100	2 0 2
45.5	50	2 2 0



Computed powder diffraction line list
Compound: OsClF8
Radiation: Cu Kα (weighted mean of Kα1 and Kα2)
Structure: DFT lattice parameters and positions (PBE)
Kinematic intensities with the Lorentz-polarization factor, no thermal factor.

Structure:
```
data_OsClF8
_cell_length_a 6.8229
_cell_length_b 5.8660
_cell_length_c 10.2463
_cell_angle_alpha 90.00
_cell_angle_beta 128.37
_cell_angle_gamma 90.00
_space_group_name_H-M_alt 'P 1 2/c 1'
_space_group_IT_number 13
loop_
_space_group_symop_operation_xyz
'x,y,z'
'-x,-y,-z'
'-x,y,-z+1/2'
'x,-y,z+1/2'
loop_
_atom_site_label
_atom_site_type_symbol
_atom_site_fract_x
_atom_site_fract_y
_atom_site_fract_z
Os1 Os 0.0000 0.1218 0.2500
Cl1 Cl 0.5000 0.3954 0.2500
F1 F 0.1106 0.3510 0.4137
F2 F 0.1126 0.1076 0.9131
F3 F 0.3272 0.1214 0.3017
F4 F 0.3684 0.4171 0.7898
```

Most intense lines, 10 to 90 degrees two-theta, in order of rising 2θ:
2theta	I (rel.)	hkl
16.6	65	1 0 0
17.5	56	1 0 -2
18.7	100	0 1 1
22.1	83	0 0 2
22.5	79	1 1 0
23.2	73	1 1 -2



Computed powder diffraction line list
Compound: Sr2Ac4Co
Radiation: Cu Kα (weighted mean of Kα1 and Kα2)
Structure: DFT lattice parameters and positions (PBE)
Kinematic intensities with the Lorentz-polarization factor, no thermal factor.

Structure:
```
data_Sr2Ac4Co
_cell_length_a 5.7272
_cell_length_b 5.7272
_cell_length_c 20.0874
_cell_angle_alpha 90.00
_cell_angle_beta 90.00
_cell_angle_gamma 90.00
_space_group_name_H-M_alt 'I 4/m m m'
_space_group_IT_number 139
_space_group_name_Hall '-I 4 2'
loop_
_atom_site_label
_atom_site_type_symbol
_atom_site_fract_x
_atom_site_fract_y
_atom_site_fract_z
Sr1 Sr 0.0000 0.0000 0.1617
Ac1 Ac 0.0000 0.0000 0.3603
Ac2 Ac 0.0000 0.5000 0.0000
Co1 Co 0.0000 0.0000 0.5000
```

Most intense lines, 10 to 90 degrees two-theta, in order of rising 2θ:
2theta	I (rel.)	hkl
23.7	56	1 1 2
26.6	30	0 0 6
28.3	100	1 1 4
31.2	61	2 0 0
41.5	37	2 0 6
53.8	35	3 1 4